This entry pairs a crystal structure of Ba2NbHPb with its computed powder XRD pattern. Radiation: Cu Kα, 1.54184 Å. Structure: a crystal structure in Alexandria, relaxed with PBE.

Atomic structure:
a = 6.0759 Å, b = 6.0759 Å, c = 5.3974 Å
α = 90.00°, β = 90.00°, γ = 90.00°
Space group P4/mmm (No. 123)
Inequivalent atoms, fractional coordinates:
1 Ba 0.0000 0.5000 0.0000 (multiplicity 2)
2 Nb 0.0000 0.0000 0.0000 (multiplicity 1)
3 H 0.5000 0.5000 0.5000 (multiplicity 1)
4 Pb 0.0000 0.0000 0.5000 (multiplicity 1)

Main lines, by intensity (10 to 80 degrees two-theta):
2theta, Rel. int., h k l
14.58, 100, 1 0 0
26.52, 78, 1 1 1
29.40, 69, 2 0 0
44.93, 43, 2 0 2
32.96, 29, 2 1 0
50.42, 27, 3 1 1
42.06, 26, 2 2 0
33.20, 25, 0 0 2
54.60, 24, 2 2 2
36.43, 22, 1 0 2